Entry 1:
For Ca3Tb5Se8, the GGA-PBE geometry in Alexandria gives the theoretical powder diffraction line list in this record (λ = 1.5418 Å (Cu Kα)).
Kinematic intensities with the Lorentz-polarization factor, no thermal factor.

Principal peaks in the range 10 to 80 degrees two-theta, sorted by position:
| 2theta | I (rel.) |
| --- | --- |
| 13.06 | 119 |
| 30.64 | 1000 |
| 43.73 | 372 |
| 44.02 | 365 |
| 54.58 | 192 |
| 63.79 | 119 |
| 72.21 | 165 |
| 72.62 | 162 |

```
data_Ca3Tb5Se8
_chemical_formula_sum 'Ca9 Tb15 Se24'
_symmetry_space_group_name_H-M 'R -3 m'
_symmetry_Int_Tables_number 166
_symmetry_space_group_name_Hall '-R 3 2"'
_cell_length_a 8.2291
_cell_length_b 8.2291
_cell_length_c 20.3429
_cell_angle_alpha 90.00
_cell_angle_beta 90.00
_cell_angle_gamma 120.00
loop_
_atom_site_label
_atom_site_fract_x
_atom_site_fract_y
_atom_site_fract_z
Ca1 0.0000 0.5000 0.0000
Tb1 0.0000 0.0000 0.0000
Tb2 0.0000 0.0000 0.5000
Tb3 0.0000 0.5000 0.5000
Se1 0.0000 0.0000 0.2490
Se2 0.9995 0.4998 0.2497
```

Entry 2:
For Er5In6, the GGA-PBE geometry in Alexandria gives the theoretical powder diffraction line list in this record (λ = 1.5418 Å (Cu Kα)).
Kinematic intensities with the Lorentz-polarization factor, no thermal factor.

Principal peaks in the range 10 to 80 degrees two-theta, sorted by position:
| 2theta | I (rel.) |
| --- | --- |
| 31.08 | 102 |
| 34.36 | 522 |
| 34.57 | 1000 |
| 49.39 | 175 |
| 50.01 | 76 |
| 61.68 | 330 |
| 62.09 | 150 |
| 72.93 | 87 |

```
data_Er5In6
_chemical_formula_sum 'Er10 In12'
_symmetry_space_group_name_H-M 'I m m m'
_symmetry_Int_Tables_number 71
_symmetry_space_group_name_Hall '-I 2 2'
_cell_length_a 5.2216
_cell_length_b 7.2949
_cell_length_c 15.6529
_cell_angle_alpha 90.00
_cell_angle_beta 90.00
_cell_angle_gamma 90.00
loop_
_atom_site_label
_atom_site_fract_x
_atom_site_fract_y
_atom_site_fract_z
Er1 0.0000 0.0000 0.0000
Er2 0.0000 0.0000 0.3218
Er3 0.0000 0.5000 0.3412
In1 0.0000 0.2126 0.5000
In2 0.0000 0.2704 0.1557
```

Entry 3:
For LaTm6Th2, the GGA-PBE geometry in Alexandria gives the theoretical powder diffraction line list in this record (λ = 1.5418 Å (Cu Kα)).
Kinematic intensities with the Lorentz-polarization factor, no thermal factor.

Principal peaks in the range 10 to 80 degrees two-theta, sorted by position:
| 2theta | I (rel.) |
| --- | --- |
| 29.07 | 522 |
| 30.65 | 577 |
| 32.17 | 781 |
| 33.81 | 1000 |
| 42.75 | 353 |
| 51.53 | 434 |
| 57.58 | 286 |
| 61.16 | 494 |

```
data_LaTm6Th2
_chemical_formula_sum 'La1 Tm6 Th2'
_symmetry_space_group_name_H-M 'P -6 m 2'
_symmetry_Int_Tables_number 187
_symmetry_space_group_name_Hall 'P -6 2'
_cell_length_a 3.5470
_cell_length_b 3.5470
_cell_length_c 26.2562
_cell_angle_alpha 90.00
_cell_angle_beta 90.00
_cell_angle_gamma 120.00
loop_
_atom_site_label
_atom_site_fract_x
_atom_site_fract_y
_atom_site_fract_z
La1 0.0000 0.0000 0.0000
Tm1 0.0000 0.0000 0.2191
Tm2 0.0000 0.0000 0.4376
Tm3 0.3333 0.6667 0.1146
Th1 0.3333 0.6667 0.3310
```

Entry 4:
For CuAg2Se, the GGA-PBE geometry in Alexandria gives the theoretical powder diffraction line list in this record (λ = 1.5418 Å (Cu Kα)).
Kinematic intensities with the Lorentz-polarization factor, no thermal factor.

Principal peaks in the range 10 to 80 degrees two-theta, sorted by position:
| 2theta | I (rel.) |
| --- | --- |
| 30.13 | 101 |
| 37.06 | 668 |
| 40.29 | 1000 |
| 53.42 | 222 |
| 62.93 | 54 |
| 68.98 | 378 |
| 75.34 | 125 |
| 78.94 | 68 |

```
data_CuAg2Se
_chemical_formula_sum 'Cu1 Ag2 Se1'
_symmetry_space_group_name_H-M 'P 4 m m'
_symmetry_Int_Tables_number 99
_symmetry_space_group_name_Hall 'P 4 -2'
_cell_length_a 3.4302
_cell_length_b 3.4302
_cell_length_c 5.9076
_cell_angle_alpha 90.00
_cell_angle_beta 90.00
_cell_angle_gamma 90.00
loop_
_atom_site_label
_atom_site_fract_x
_atom_site_fract_y
_atom_site_fract_z
Cu1 0.0000 0.0000 0.0000
Ag1 0.0000 0.0000 0.4920
Ag2 0.5000 0.5000 0.7492
Se1 0.5000 0.5000 0.2042
```

Entry 5:
For CsSe2Cl4, the GGA-PBE geometry in Alexandria gives the theoretical powder diffraction line list in this record (λ = 1.5418 Å (Cu Kα)).
Kinematic intensities with the Lorentz-polarization factor, no thermal factor.

Principal peaks in the range 10 to 80 degrees two-theta, sorted by position:
| 2theta | I (rel.) |
| --- | --- |
| 11.83 | 580 |
| 17.77 | 1000 |
| 18.24 | 541 |
| 24.58 | 382 |
| 25.90 | 681 |
| 28.90 | 408 |
| 35.80 | 237 |
| 36.01 | 579 |

```
data_CsSe2Cl4
_chemical_formula_sum 'Cs4 Se8 Cl16'
_symmetry_space_group_name_H-M 'C 1 2 1'
_symmetry_Int_Tables_number 5
_symmetry_space_group_name_Hall 'C 2y'
_cell_length_a 11.3272
_cell_length_b 11.7094
_cell_length_c 11.0510
_cell_angle_alpha 90.00
_cell_angle_beta 120.83
_cell_angle_gamma 90.00
loop_
_atom_site_label
_atom_site_fract_x
_atom_site_fract_y
_atom_site_fract_z
Cs1 0.0000 0.0000 0.0000
Cs2 0.0000 0.2501 0.5000
Se1 0.0434 0.5834 0.2204
Se2 0.1778 0.4166 0.2207
Cl1 0.0192 0.2699 0.1883
Cl2 0.1155 0.0079 0.7405
Cl3 0.1246 0.4921 0.7409
Cl4 0.1696 0.7300 0.1879
```

Entry 6:
For Ge2HAu, the GGA-PBE geometry in Alexandria gives the theoretical powder diffraction line list in this record (λ = 1.5418 Å (Cu Kα)).
Kinematic intensities with the Lorentz-polarization factor, no thermal factor.

Principal peaks in the range 10 to 80 degrees two-theta, sorted by position:
| 2theta | I (rel.) |
| --- | --- |
| 16.23 | 1000 |
| 26.67 | 702 |
| 36.82 | 675 |
| 42.78 | 466 |
| 46.04 | 548 |
| 51.12 | 329 |
| 57.69 | 184 |
| 68.80 | 192 |

```
data_Ge2HAu
_chemical_formula_sum 'Ge6 H3 Au3'
_symmetry_space_group_name_H-M 'R -3 m'
_symmetry_Int_Tables_number 166
_symmetry_space_group_name_Hall '-R 3 2"'
_cell_length_a 4.2273
_cell_length_b 4.2273
_cell_length_c 16.3794
_cell_angle_alpha 90.00
_cell_angle_beta 90.00
_cell_angle_gamma 120.00
loop_
_atom_site_label
_atom_site_fract_x
_atom_site_fract_y
_atom_site_fract_z
Ge1 0.0000 0.0000 0.1089
H1 0.0000 0.0000 0.0000
Au1 0.0000 0.0000 0.5000
```

Entry 7:
For KW8, the GGA-PBE geometry in Alexandria gives the theoretical powder diffraction line list in this record (λ = 1.5418 Å (Cu Kα)).
Kinematic intensities with the Lorentz-polarization factor, no thermal factor.

Principal peaks in the range 10 to 80 degrees two-theta, sorted by position:
| 2theta | I (rel.) |
| --- | --- |
| 15.35 | 79 |
| 21.79 | 45 |
| 38.21 | 1000 |
| 44.42 | 23 |
| 47.25 | 213 |
| 49.98 | 48 |
| 62.34 | 187 |
| 69.09 | 207 |

```
data_KW8
_chemical_formula_sum 'K2 W16'
_symmetry_space_group_name_H-M 'I 4/m m m'
_symmetry_Int_Tables_number 139
_symmetry_space_group_name_Hall '-I 4 2'
_cell_length_a 8.1619
_cell_length_b 8.1619
_cell_length_c 4.7072
_cell_angle_alpha 90.00
_cell_angle_beta 90.00
_cell_angle_gamma 90.00
loop_
_atom_site_label
_atom_site_fract_x
_atom_site_fract_y
_atom_site_fract_z
K1 0.0000 0.0000 0.0000
W1 0.0000 0.3432 0.0000
W2 0.1769 0.1769 0.5000
```

Entry 8:
For Tb5Tl3Sn, the GGA-PBE geometry in Alexandria gives the theoretical powder diffraction line list in this record (λ = 1.5418 Å (Cu Kα)).
Kinematic intensities with the Lorentz-polarization factor, no thermal factor.

Principal peaks in the range 10 to 80 degrees two-theta, sorted by position:
| 2theta | I (rel.) |
| --- | --- |
| 31.93 | 587 |
| 32.83 | 837 |
| 33.04 | 1000 |
| 42.08 | 224 |
| 47.27 | 256 |
| 50.83 | 162 |
| 58.74 | 181 |
| 66.03 | 228 |

```
data_Tb5Tl3Sn
_chemical_formula_sum 'Tb10 Tl6 Sn2'
_symmetry_space_group_name_H-M 'P 63/m c m'
_symmetry_Int_Tables_number 193
_symmetry_space_group_name_Hall '-P 6c 2'
_cell_length_a 9.4506
_cell_length_b 9.4506
_cell_length_c 6.6195
_cell_angle_alpha 90.00
_cell_angle_beta 90.00
_cell_angle_gamma 120.00
loop_
_atom_site_label
_atom_site_fract_x
_atom_site_fract_y
_atom_site_fract_z
Tb1 0.0000 0.2762 0.2500
Tb2 0.3333 0.6667 0.0000
Tl1 0.0000 0.3846 0.7500
Sn1 0.0000 0.0000 0.0000
```

Number 6 is which compound? Ge2HAu